Diffraction record for Nb12Zn5N2. The XRD peak list is computed, not measured: it uses a GGA-PBE-relaxed structure and Cu Ka.
No peak broadening, texture or thermal motion is included.

Principal peaks in the range 2θ from 10° to 90°, in order of rising 2θ:
| d_spacing | Position (°2θ) | I (rel.) |
| --- | --- | --- |
| 2.498 | 35.96 | 100 |
| 2.442 | 36.80 | 13 |
| 2.432 | 36.97 | 85 |
| 2.321 | 38.79 | 80 |
| 2.149 | 42.04 | 22 |
| 1.866 | 48.81 | 17 |
| 1.681 | 54.58 | 14 |
| 1.578 | 58.51 | 21 |
| 1.454 | 64.03 | 16 |
| 1.351 | 69.61 | 15 |

Crystal structure
Lattice parameters (Å, degrees): 8.149 8.149 7.463 117.25 117.25 48.74
Fractional positions:
Nb  0.000  0.000  0.176
Nb  0.000  0.000  0.824
Nb  0.083  0.597  0.840
Nb  0.188  0.584  0.386
Nb  0.403  0.917  0.160
Nb  0.416  0.812  0.614
Nb  0.500  0.500  0.200
Nb  0.500  0.500  0.800
Nb  0.584  0.188  0.386
Nb  0.597  0.083  0.840
Nb  0.812  0.416  0.614
Nb  0.917  0.403  0.160
Zn  0.000  0.000  0.500
Zn  0.241  0.241  0.510
Zn  0.241  0.241  0.972
Zn  0.759  0.759  0.028
Zn  0.759  0.759  0.490
N  0.264  0.736  0.000
N  0.736  0.264  0.000